This entry pairs a crystal structure of Dy7HoTm12 with its calculated powder diffraction line list. Radiation: λ = 1.5418 Å (Cu Kα). Structure: a structure optimized by DFT (GGA-PBE).
Peak positions follow from Bragg's law for the DFT cell and can differ from measured ones.

Structure:
abc: 12.6376 12.6376 13.4433
angles: 90.00 90.00 120.00
Space group R-3 (No. 148, hexagonal axes)
Unique sites:
Dy (0.0000, 0.0000, 0.0000) [3 per cell]
Dy (0.0684, 0.8682, 0.3463) [18 per cell]
Ho (0.0000, 0.0000, 0.5000) [3 per cell]
Tm (0.0001, 0.4358, 0.7508) [18 per cell]
Tm (0.0682, 0.2013, 0.8502) [18 per cell]

Main lines, by intensity (10 to 90 degrees two-theta):
two_theta, d/Å, Rel. int., (hkl)
32.36, 2.766, 100.0, 3 1 2
30.18, 2.961, 64.7, 4 -3 1
31.23, 2.864, 43.6, 0 2 4
40.01, 2.254, 31.5, 3 -2 5
42.88, 2.109, 28.7, 4 1 3
27.77, 3.213, 20.1, 1 0 4
56.36, 1.633, 18.3, 7 -5 3
24.37, 3.653, 14.6, 3 0 0

---

This entry pairs a crystal structure of Dy8HoTm6 with its calculated powder diffraction line list. Radiation: λ = 1.5418 Å (Cu Kα). Structure: a structure optimized by DFT (GGA-PBE).
Peak positions follow from Bragg's law for the DFT cell and can differ from measured ones.

Structure:
abc: 3.500 8.510 15.754
angles: 96.81 90.04 90.03
Space group P-1 (No. 2)
Unique sites:
Dy (0.000, 0.008, 0.105) [2 per cell]
Dy (0.000, 0.323, 0.435) [2 per cell]
Dy (0.000, 0.399, 0.837) [2 per cell]
Dy (0.500, 0.283, 0.241) [2 per cell]
Ho (0.500, 0.000, 0.500) [1 per cell]
Tm (0.001, 0.040, 0.688) [2 per cell]
Tm (0.500, 0.308, 0.023) [2 per cell]
Tm (0.500, 0.362, 0.634) [2 per cell]

Main lines, by intensity (10 to 90 degrees two-theta):
two_theta, d/Å, Rel. int., (hkl)
31.64, 2.828, 100.0, 0 1 5
31.90, 2.806, 71.8, 1 1 -3
33.56, 2.670, 58.7, 0 2 -5
31.77, 2.817, 55.5, 0 3 0
36.06, 2.491, 51.1, 1 2 2
33.26, 2.693, 39.6, 1 -2 0
62.42, 1.488, 38.6, 2 1 5
53.66, 1.708, 34.5, 1 4 -4

---

This entry pairs a crystal structure of Dy4Ho19Tm6 with its calculated powder diffraction line list. Radiation: λ = 1.5418 Å (Cu Kα). Structure: a structure optimized by DFT (GGA-PBE).
Peak positions follow from Bragg's law for the DFT cell and can differ from measured ones.

Structure:
abc: 12.344 12.344 12.344
angles: 90.00 90.00 90.00
Space group I23 (No. 197)
Unique sites:
Dy (0.178, 0.178, 0.178) [8 per cell]
Ho (0.000, 0.000, 0.000) [2 per cell]
Ho (0.000, 0.000, 0.263) [12 per cell]
Ho (0.063, 0.276, 0.736) [24 per cell]
Tm (0.000, 0.128, 0.500) [12 per cell]

Main lines, by intensity (10 to 90 degrees two-theta):
two_theta, d/Å, Rel. int., (hkl)
30.73, 2.909, 100.0, 4 1 1
37.14, 2.421, 73.8, 4 3 1
28.93, 3.086, 58.1, 4 0 0
27.03, 3.299, 47.8, 3 2 1
35.63, 2.520, 44.5, 4 2 2
60.98, 1.519, 28.9, 7 4 1
54.64, 1.680, 25.7, 6 3 3
42.71, 2.117, 21.2, 4 3 3

---

This entry pairs a crystal structure of Dy8HoTm4 with its calculated powder diffraction line list. Radiation: λ = 1.5418 Å (Cu Kα). Structure: a structure optimized by DFT (GGA-PBE).
Peak positions follow from Bragg's law for the DFT cell and can differ from measured ones.

Structure:
abc: 7.1829 7.1829 27.3184
angles: 90.00 90.00 120.00
Space group R-3m (No. 166, hexagonal axes)
Unique sites:
Dy (0.0000, 0.0000, 0.2151) [6 per cell]
Dy (0.0336, 0.5168, 0.7660) [18 per cell]
Ho (0.0000, 0.0000, 0.5000) [3 per cell]
Tm (0.0000, 0.0000, 0.0000) [3 per cell]
Tm (0.0000, 0.5000, 0.0000) [9 per cell]

Main lines, by intensity (10 to 90 degrees two-theta):
two_theta, d/Å, Rel. int., (hkl)
31.61, 2.831, 100.0, 0 2 4
33.14, 2.703, 37.9, 2 0 5
29.43, 3.035, 31.8, 0 0 9
39.18, 2.299, 31.7, 2 0 8
50.85, 1.796, 29.8, 2 2 0
59.84, 1.546, 19.9, 2 2 9
28.89, 3.090, 16.1, 0 2 1
61.11, 1.517, 16.1, 4 0 4